Structure and simulated XRD peak list of HfCrSnO6 (a crystal structure in Alexandria, relaxed with PBE+U; copper Kα).
Peak positions follow from Bragg's law for the DFT cell and can differ from measured ones.

Structural model:
```
data_HfCrSnO6
_chemical_formula_sum 'Hf2 Cr2 Sn2 O12'
_cell_length_a 5.1663
_cell_length_b 5.1663
_cell_length_c 8.9964
_cell_angle_alpha 90.00
_cell_angle_beta 90.00
_cell_angle_gamma 120.00
_symmetry_space_group_name_H-M 'P -3 1 c'
_symmetry_Int_Tables_number 163
_symmetry_space_group_name_Hall '-P 3 2c'
loop_
_atom_site_label
_atom_site_type_symbol
_atom_site_fract_x
_atom_site_fract_y
_atom_site_fract_z
_atom_site_occupancy
Hf1 Hf 0.3333 0.6667 0.2500 1
Cr1 Cr 0.3333 0.6667 0.7500 1
Sn1 Sn 0.0000 0.0000 0.0000 1
O1 O 0.0182 0.3508 0.6301 1
```

The 6 most intense peaks (2θ from 15° to 90°), by angle:
| h k l | 2theta | intensity |
| --- | --- | --- |
| 1 0 1 | 22.19 | 31 |
| 1 0 2 | 28.13 | 100 |
| 1 1 0 | 34.73 | 47 |
| 2 0 2 | 45.27 | 28 |
| 1 1 4 | 54.06 | 45 |
| 2 1 2 | 58.29 | 26 |